Record 1
The following is a theoretical powder XRD pattern of Ba2InSe3. It was derived from a crystal structure in Alexandria, relaxed with GGA-PBE, using λ = 1.5418 Å (Cu Kα).

Main lines, by angle (2θ = 15–90°):
2theta	Rel. int.
24.05	100.0
24.77	40.7
27.19	42.9
27.88	51.9
29.15	61.5
29.69	54.7
32.85	39.0
33.87	40.5
39.18	35.2
41.80	43.2

Structure:
a b c (Å): 7.768 7.768 7.935
angles (deg): 100.15 100.15 62.94
Fractional coordinates of all 12 atoms:
Ba  0.008  0.678  0.828
Ba  0.322  0.992  0.672
Ba  0.678  0.008  0.328
Ba  0.992  0.322  0.172
In  0.443  0.557  0.250
In  0.557  0.443  0.750
Se  0.113  0.887  0.250
Se  0.299  0.364  0.492
Se  0.364  0.299  0.992
Se  0.636  0.701  0.008
Se  0.701  0.636  0.508
Se  0.887  0.113  0.750

Record 2
The following is a theoretical powder XRD pattern of BaInSe2. It was derived from a crystal structure in Alexandria, relaxed with GGA-PBE, using λ = 1.5418 Å (Cu Kα).

Main lines, by angle (2θ = 15–90°):
2theta	Rel. int.
15.06	27.7
21.62	23.8
26.27	82.5
27.38	100.0
31.31	24.7
31.48	42.1
35.80	28.6
38.40	57.0
40.75	26.8
45.59	37.0

Structure:
a b c (Å): 8.165 9.253 8.216
angles (deg): 90.00 111.88 90.00
Fractional coordinates of all 16 atoms:
Ba  0.240  0.129  0.492
Ba  0.240  0.371  0.992
Ba  0.760  0.629  0.008
Ba  0.760  0.871  0.508
In  0.293  0.682  0.637
In  0.293  0.818  0.137
In  0.707  0.182  0.863
In  0.707  0.318  0.363
Se  0.062  0.691  0.831
Se  0.062  0.809  0.331
Se  0.464  0.095  0.232
Se  0.464  0.405  0.732
Se  0.536  0.595  0.268
Se  0.536  0.905  0.768
Se  0.938  0.191  0.669
Se  0.938  0.309  0.169

Record 3
The following is a theoretical powder XRD pattern of Ba2SmInSe5. It was derived from a crystal structure in Alexandria, relaxed with GGA-PBE, using λ = 1.5418 Å (Cu Kα).

Main lines, by angle (2θ = 15–90°):
2theta	Rel. int.
21.80	16.6
24.77	25.3
28.53	58.9
28.93	100.0
33.78	40.0
37.00	14.6
41.19	17.7
41.55	28.8
47.44	22.6
51.17	22.8

Structure:
a b c (Å): 9.892 9.892 13.496
angles (deg): 90.00 90.00 154.61
Fractional coordinates of all 18 atoms:
Ba  0.117  0.883  0.500
Ba  0.130  0.870  0.134
Ba  0.870  0.130  0.634
Ba  0.883  0.117  0.000
Sm  0.211  0.789  0.837
Sm  0.789  0.211  0.337
In  0.446  0.554  0.256
In  0.554  0.446  0.756
Se  0.049  0.951  0.870
Se  0.291  0.709  0.480
Se  0.314  0.686  0.186
Se  0.357  0.643  0.820
Se  0.496  0.504  0.586
Se  0.504  0.496  0.086
Se  0.643  0.357  0.320
Se  0.686  0.314  0.686
Se  0.709  0.291  0.980
Se  0.951  0.049  0.370

Record 4
The following is a theoretical powder XRD pattern of Ba4In2Te2Se5. It was derived from a crystal structure in Alexandria, relaxed with GGA-PBE, using λ = 1.5418 Å (Cu Kα).

Main lines, by angle (2θ = 15–90°):
2theta	Rel. int.
25.57	30.6
27.56	100.0
28.84	40.9
31.02	57.4
32.33	28.2
33.28	12.3
45.50	62.0
46.38	21.4
63.78	12.6
70.80	15.3

Structure:
a b c (Å): 8.756 8.756 11.503
angles (deg): 90.00 90.00 90.00
Fractional coordinates of all 26 atoms:
Ba  0.000  0.000  0.217
Ba  0.000  0.000  0.783
Ba  0.157  0.343  0.500
Ba  0.343  0.843  0.500
Ba  0.500  0.500  0.217
Ba  0.500  0.500  0.783
Ba  0.657  0.157  0.500
Ba  0.843  0.657  0.500
In  0.000  0.500  0.154
In  0.000  0.500  0.846
In  0.500  0.000  0.154
In  0.500  0.000  0.846
Te  0.180  0.320  0.000
Te  0.320  0.820  0.000
Te  0.680  0.180  0.000
Te  0.820  0.680  0.000
Se  0.000  0.000  0.500
Se  0.158  0.658  0.303
Se  0.158  0.658  0.697
Se  0.342  0.158  0.303
Se  0.342  0.158  0.697
Se  0.500  0.500  0.500
Se  0.658  0.842  0.303
Se  0.658  0.842  0.697
Se  0.842  0.342  0.303
Se  0.842  0.342  0.697

Record 5
The following is a theoretical powder XRD pattern of Ba2InSi. It was derived from a crystal structure in Alexandria, relaxed with GGA-PBE, using λ = 1.5418 Å (Cu Kα).

Main lines, by angle (2θ = 15–90°):
2theta	Rel. int.
23.97	17.1
27.20	100.0
27.85	11.8
33.72	31.4
34.22	14.1
35.23	17.6
39.57	12.7
46.99	10.1
48.71	15.5
58.46	11.4

Structure:
a b c (Å): 4.555 5.095 12.815
angles (deg): 90.00 90.00 90.00
Fractional coordinates of all 8 atoms:
Ba  0.000  0.000  0.000
Ba  0.000  0.500  0.500
Ba  0.500  0.000  0.282
Ba  0.500  0.500  0.782
In  0.000  0.000  0.698
In  0.000  0.500  0.198
Si  0.500  0.000  0.572
Si  0.500  0.500  0.072

Record 6
The following is a theoretical powder XRD pattern of Ba4In3Si. It was derived from a crystal structure in Alexandria, relaxed with GGA-PBE, using λ = 1.5418 Å (Cu Kα).

Main lines, by angle (2θ = 15–90°):
2theta	Rel. int.
26.59	100.0
26.81	54.1
27.21	17.9
32.98	60.9
33.31	30.1
35.00	31.0
38.24	24.2
47.31	22.5
49.09	19.7
52.80	18.7

Structure:
a b c (Å): 4.707 5.128 13.109
angles (deg): 90.00 90.00 90.00
Fractional coordinates of all 8 atoms:
Ba  0.000  0.000  0.000
Ba  0.000  0.500  0.473
Ba  0.500  0.000  0.697
Ba  0.500  0.500  0.207
In  0.000  0.500  0.776
In  0.500  0.000  0.400
In  0.500  0.500  0.915
Si  0.000  0.000  0.276

Record 7
The following is a theoretical powder XRD pattern of Ba2InSn5. It was derived from a crystal structure in Alexandria, relaxed with GGA-PBE, using λ = 1.5418 Å (Cu Kα).

Main lines, by angle (2θ = 15–90°):
2theta	Rel. int.
25.75	18.7
30.41	89.4
31.99	100.0
32.33	48.6
38.05	16.8
38.26	31.7
41.52	21.9
50.76	14.9
63.21	28.8
63.40	17.5

Structure:
a b c (Å): 12.822 6.919 6.482
angles (deg): 90.00 120.24 90.00
Fractional coordinates of all 16 atoms:
Ba  0.000  0.000  0.000
Ba  0.000  0.497  0.000
Ba  0.500  0.500  0.000
Ba  0.500  0.997  0.000
In  0.000  0.742  0.500
In  0.500  0.242  0.500
Sn  0.000  0.252  0.500
Sn  0.249  0.749  0.499
Sn  0.249  0.749  0.999
Sn  0.251  0.249  0.001
Sn  0.251  0.249  0.501
Sn  0.500  0.752  0.500
Sn  0.749  0.249  0.499
Sn  0.749  0.249  0.999
Sn  0.751  0.749  0.001
Sn  0.751  0.749  0.501

Record 8
The following is a theoretical powder XRD pattern of Ba2In3Sn. It was derived from a crystal structure in Alexandria, relaxed with GGA-PBE, using λ = 1.5418 Å (Cu Kα).

Main lines, by angle (2θ = 15–90°):
2theta	Rel. int.
17.20	8.6
27.07	100.0
34.80	18.7
36.19	16.8
36.41	32.9
45.81	15.9
51.08	12.4
51.25	24.4
57.81	11.8
76.11	7.6

Structure:
a b c (Å): 4.964 5.156 8.531
angles (deg): 90.00 90.00 90.00
Fractional coordinates of all 6 atoms:
Ba  0.000  0.000  0.000
Ba  0.500  0.000  0.491
In  0.000  0.500  0.334
In  0.000  0.500  0.666
In  0.500  0.500  0.823
Sn  0.500  0.500  0.159

Record 9
The following is a theoretical powder XRD pattern of Ba2InSn3. It was derived from a crystal structure in Alexandria, relaxed with GGA-PBE, using λ = 1.5418 Å (Cu Kα).

Main lines, by angle (2θ = 15–90°):
2theta	Rel. int.
17.91	12.6
27.16	100.0
27.49	50.8
35.18	28.2
35.96	53.3
36.29	25.9
45.22	26.2
51.44	19.0
52.01	36.9
59.83	22.8

Structure:
a b c (Å): 9.992 9.916 7.109
angles (deg): 69.65 68.51 41.84
Fractional coordinates of all 12 atoms:
Ba  0.243  0.757  0.757
Ba  0.250  0.250  0.250
Ba  0.750  0.750  0.750
Ba  0.757  0.243  0.243
In  0.335  0.335  0.665
In  0.665  0.665  0.335
Sn  0.167  0.167  0.833
Sn  0.170  0.661  0.339
Sn  0.339  0.830  0.170
Sn  0.661  0.170  0.830
Sn  0.830  0.339  0.661
Sn  0.833  0.833  0.167

Record 10
The following is a theoretical powder XRD pattern of BaIn7Sn5. It was derived from a crystal structure in Alexandria, relaxed with GGA-PBE, using λ = 1.5418 Å (Cu Kα).

Main lines, by angle (2θ = 15–90°):
2theta	Rel. int.
28.07	23.1
32.53	100.0
36.49	57.4
46.67	6.3
52.55	13.3
55.34	9.5
58.03	26.6
60.65	6.4
68.12	15.6
70.52	8.6

Structure:
a b c (Å): 8.409 8.409 8.409
angles (deg): 135.55 98.20 98.25
Fractional coordinates of all 13 atoms:
Ba  0.000  0.000  0.000
In  0.213  0.498  0.715
In  0.215  0.715  0.500
In  0.355  0.355  0.000
In  0.359  0.000  0.359
In  0.639  0.639  0.000
In  0.641  0.000  0.641
In  0.783  0.498  0.285
Sn  0.497  0.497  0.499
Sn  0.497  0.998  0.000
Sn  0.787  0.287  0.500
Sn  0.998  0.497  0.000
Sn  0.998  0.998  0.501

Number 5 is which compound? Ba2InSi

Number 10 is which compound? BaIn7Sn5